[1]
Structure and theoretical PXRD pattern of In14Sn5S26 (the GGA-PBE geometry in the Materials Project; λ = 1.5418 Å (Cu Kα)).
Intensities are scaled so that the largest is 100.

Structure:
Cell: 19.2593 19.2593 13.8822 Å, 90.93 90.93 11.63°
Fractional coordinates of all 45 atoms:
In 0.0000 0.0000 0.0000
In 0.0002 0.0002 0.4993
In 0.1049 0.1049 0.9638
In 0.1686 0.1686 0.4321
In 0.2497 0.2497 0.6210
In 0.2833 0.2833 0.0970
In 0.4124 0.4124 0.5009
In 0.4589 0.4589 0.2074
In 0.5419 0.5419 0.7913
In 0.5869 0.5869 0.4905
In 0.7205 0.7205 0.9127
In 0.7559 0.7559 0.3676
In 0.8362 0.8362 0.5673
In 0.8958 0.8958 0.0391
Sn 0.3326 0.3326 0.8562
Sn 0.4309 0.4309 0.7692
Sn 0.5689 0.5689 0.2226
Sn 0.6527 0.6527 0.7172
Sn 0.6705 0.6705 0.1440
S 0.0082 0.0082 0.1811
S 0.0559 0.0559 0.3933
S 0.0902 0.0902 0.7859
S 0.1151 0.1151 0.1452
S 0.1279 0.1279 0.5763
S 0.2083 0.2083 0.7799
S 0.2149 0.2149 0.3076
S 0.2168 0.2168 0.0469
S 0.2889 0.2889 0.4663
S 0.3521 0.3521 0.0442
S 0.3692 0.3692 0.6515
S 0.4525 0.4525 0.0088
S 0.4697 0.4697 0.3983
S 0.5341 0.5341 0.6013
S 0.5524 0.5524 0.9865
S 0.6332 0.6332 0.3545
S 0.6498 0.6498 0.9479
S 0.7088 0.7088 0.5405
S 0.7856 0.7856 0.9498
S 0.7873 0.7873 0.6898
S 0.7924 0.7924 0.2135
S 0.8758 0.8758 0.4254
S 0.8886 0.8886 0.8560
S 0.9149 0.9149 0.2119
S 0.9465 0.9465 0.6069
S 0.9969 0.9969 0.8172

Peak list (6 most intense, 5° ≤ 2θ ≤ 70°, sorted by position)
2theta	d [Å]	intensity
26.17	3.405	67
26.34	3.384	75
26.54	3.359	84
31.08	2.878	100
31.70	2.823	47
46.56	1.951	78



[2]
Structure and theoretical PXRD pattern of In9Sn4S17 (the GGA-PBE geometry in the Materials Project; λ = 1.5418 Å (Cu Kα)).
Intensities are scaled so that the largest is 100.

Structure:
Cell: 15.3934 22.8368 3.8864 Å, 90.00 90.00 90.00°
Fractional coordinates of all 60 atoms:
In 0.0000 0.0000 0.0000
In 0.0516 0.4206 0.0000
In 0.0672 0.1362 0.5000
In 0.1685 0.2592 0.0000
In 0.2292 0.8892 0.5000
In 0.2708 0.3892 0.5000
In 0.3315 0.7592 0.0000
In 0.4328 0.6362 0.5000
In 0.4484 0.9206 0.0000
In 0.5000 0.5000 0.0000
In 0.5516 0.0794 0.0000
In 0.5672 0.3638 0.5000
In 0.6685 0.2408 0.0000
In 0.7292 0.6108 0.5000
In 0.7708 0.1108 0.5000
In 0.8315 0.7408 0.0000
In 0.9328 0.8638 0.5000
In 0.9484 0.5794 0.0000
Sn 0.0903 0.7162 0.5000
Sn 0.2047 0.5642 0.5000
Sn 0.2953 0.0642 0.5000
Sn 0.4097 0.2162 0.5000
Sn 0.5903 0.7838 0.5000
Sn 0.7047 0.9358 0.5000
Sn 0.7953 0.4358 0.5000
Sn 0.9097 0.2838 0.5000
S 0.0000 0.5000 0.5000
S 0.0196 0.2102 0.0000
S 0.0674 0.9335 0.5000
S 0.1007 0.3413 0.5000
S 0.1041 0.6275 0.0000
S 0.1338 0.0704 0.0000
S 0.1899 0.8168 0.0000
S 0.2115 0.4597 0.0000
S 0.2230 0.1916 0.5000
S 0.2770 0.6916 0.5000
S 0.2885 0.9597 0.0000
S 0.3101 0.3168 0.0000
S 0.3662 0.5704 0.0000
S 0.3959 0.1275 0.0000
S 0.3993 0.8413 0.5000
S 0.4326 0.4335 0.5000
S 0.4804 0.7102 0.0000
S 0.5000 0.0000 0.5000
S 0.5196 0.2898 0.0000
S 0.5674 0.5665 0.5000
S 0.6007 0.1587 0.5000
S 0.6041 0.8725 0.0000
S 0.6338 0.4296 0.0000
S 0.6899 0.6832 0.0000
S 0.7115 0.0403 0.0000
S 0.7230 0.3084 0.5000
S 0.7770 0.8084 0.5000
S 0.7885 0.5403 0.0000
S 0.8101 0.1832 0.0000
S 0.8662 0.9296 0.0000
S 0.8959 0.3725 0.0000
S 0.8993 0.6587 0.5000
S 0.9326 0.0665 0.5000
S 0.9804 0.7898 0.0000

Peak list (6 most intense, 5° ≤ 2θ ≤ 70°, sorted by position)
2theta	d [Å]	intensity
23.34	3.812	43
25.95	3.433	100
30.76	2.907	63
32.41	2.763	98
33.46	2.678	44
46.75	1.943	48